[1]
Theoretical powder X-ray diffraction pattern
Compound: Pr5Tl2Sn2
Radiation: Cu Kα, 1.54184 Å
Structure: a cell relaxed with PBE

Structural model:
```
Pr5Tl2Sn2
1.0
8.1844 -4.2543 0.0000
8.1844 4.2543 0.0000
0.0000 0.0000 8.4385
Pr Tl Sn
10 4 4
Direct
0.0000 0.0000 0.0000
0.0342 0.6809 0.6710
0.1809 0.5342 0.1710
0.3191 0.9658 0.6710
0.4658 0.8191 0.1710
0.5000 0.5000 0.5000
0.5342 0.1809 0.8290
0.6809 0.0342 0.3290
0.8191 0.4658 0.8290
0.9658 0.3191 0.3290
0.1263 0.8737 0.3742
0.3737 0.6263 0.8742
0.6263 0.3737 0.1258
0.8737 0.1263 0.6258
0.2047 0.2047 0.0000
0.2953 0.2953 0.5000
0.7047 0.7047 0.5000
0.7953 0.7953 0.0000
```

Largest 10 diffraction maxima, most intense first, 15° ≤ 2θ ≤ 90°:
2θ 28.73, d 3.107, rel. 100
2θ 32.15, d 2.784, rel. 70
2θ 33.79, d 2.653, rel. 50
2θ 34.01, d 2.636, rel. 47
2θ 25.86, d 3.446, rel. 40
2θ 32.83, d 2.728, rel. 34
2θ 29.82, d 2.996, rel. 34
2θ 30.31, d 2.949, rel. 30
2θ 30.43, d 2.938, rel. 26
2θ 43.56, d 2.078, rel. 20

=====

[2]
Theoretical powder X-ray diffraction pattern
Compound: Na2ScU2S6
Radiation: Cu Kα, 1.54184 Å
Structure: a cell relaxed with PBE

Structural model:
```
Na2ScU2S6
1.0
3.3871 -5.8371 0.0000
3.3871 5.8371 0.0000
-2.2098 0.0000 6.7635
Na Sc U S
2 1 2 6
Direct
0.1665 0.8335 0.0000
0.8335 0.1665 0.0000
0.0000 0.0000 0.5000
0.3351 0.6649 0.5000
0.6649 0.3351 0.5000
0.0691 0.3961 0.7177
0.2462 0.2462 0.2814
0.3961 0.0691 0.7177
0.6039 0.9309 0.2823
0.7538 0.7538 0.7186
0.9309 0.6039 0.2823
```

Largest 10 diffraction maxima, most intense first, 15° ≤ 2θ ≤ 90°:
2θ 31.80, d 2.814, rel. 100
2θ 26.75, d 3.332, rel. 81
2θ 31.87, d 2.808, rel. 46
2θ 44.78, d 2.024, rel. 39
2θ 46.50, d 1.953, rel. 32
2θ 17.53, d 5.060, rel. 29
2θ 27.90, d 3.198, rel. 28
2θ 48.65, d 1.872, rel. 25
2θ 40.97, d 2.203, rel. 25
2θ 34.63, d 2.590, rel. 20

=====

[3]
Theoretical powder X-ray diffraction pattern
Compound: Ca3TlSn12
Radiation: Cu Kα, 1.54184 Å
Structure: a cell relaxed with PBE

Structural model:
```
Ca3TlSn12
1.0
4.7465 0.0000 0.0000
0.0000 4.7465 0.0000
0.0000 0.0000 19.4733
Ca Tl Sn
3 1 12
Direct
0.0000 0.0000 0.0000
0.0000 0.0000 0.2427
0.0000 0.0000 0.7573
0.0000 0.0000 0.5000
0.0000 0.5000 0.1231
0.0000 0.5000 0.3709
0.0000 0.5000 0.6291
0.0000 0.5000 0.8769
0.5000 0.0000 0.1231
0.5000 0.0000 0.3709
0.5000 0.0000 0.6291
0.5000 0.0000 0.8769
0.5000 0.5000 0.0000
0.5000 0.5000 0.2492
0.5000 0.5000 0.5000
0.5000 0.5000 0.7508
```

Largest 10 diffraction maxima, most intense first, 15° ≤ 2θ ≤ 90°:
2θ 32.40, d 2.763, rel. 100
2θ 37.91, d 2.373, rel. 33
2θ 65.02, d 1.434, rel. 28
2θ 53.96, d 1.699, rel. 24
2θ 36.93, d 2.434, rel. 17
2θ 63.70, d 1.461, rel. 15
2θ 88.79, d 1.102, rel. 13
2θ 67.83, d 1.382, rel. 12
2θ 54.70, d 1.678, rel. 12
2θ 89.99, d 1.090, rel. 6